# Ba3YTi2O8
Simulated X-ray powder pattern, Cu Kα X-rays. Input: a crystal structure in Alexandria, relaxed with PBE.

Most intense lines, 15 to 90 degrees two-theta, low angle first:
2θ (°), I/Imax, h k l
20.53, 18, 1 0 1
28.77, 84, 0 1 2
29.60, 100, 1 1 0
36.29, 17, 0 2 1
41.75, 46, 2 0 2
50.46, 16, 1 0 4
52.00, 32, 1 2 2
52.51, 19, 3 0 0
59.59, 14, 0 2 4
61.44, 17, 2 2 0
67.93, 13, 2 1 4
69.23, 14, 3 1 2

Structure:
a = 6.0367 Å, b = 6.0367 Å, c = 7.7108 Å
α = 90.00°, β = 90.00°, γ = 120.00°
Space group P-3m1 (No. 164)
Asymmetric unit:
Ba: 0.0000 0.0000 0.0000 x1
Ba: 0.3333 0.6667 0.6593 x2
Y: 0.0000 0.0000 0.5000 x1
Ti: 0.3333 0.6667 0.2132 x2
O: 0.1702 0.3405 0.3153 x6
O: 0.3333 0.6667 0.9807 x2